No. 1
This entry pairs a crystal structure of Cs3NiF7 with its theoretical PXRD pattern. Radiation: Cu Ka. Structure: a structure optimized by DFT (PBE+U).
Intensities are scaled so that the largest is 100.

Crystal structure
a = 8.457 Å, b = 8.457 Å, c = 6.252 Å
α = 90.00°, β = 90.00°, γ = 90.00°
Fractional coordinates of all 22 atoms:
1 Cs 0.000 0.000 0.000
2 Cs 0.193 0.307 0.500
3 Cs 0.307 0.807 0.500
4 Cs 0.500 0.500 0.000
5 Cs 0.693 0.193 0.500
6 Cs 0.807 0.693 0.500
7 Ni 0.000 0.500 0.000
8 Ni 0.500 0.000 0.000
9 F 0.000 0.000 0.500
10 F 0.106 0.606 0.206
11 F 0.106 0.606 0.794
12 F 0.151 0.349 0.000
13 F 0.349 0.849 0.000
14 F 0.394 0.106 0.206
15 F 0.394 0.106 0.794
16 F 0.500 0.500 0.500
17 F 0.606 0.894 0.206
18 F 0.606 0.894 0.794
19 F 0.651 0.151 0.000
20 F 0.849 0.651 0.000
21 F 0.894 0.394 0.206
22 F 0.894 0.394 0.794

Principal peaks in the range 15° ≤ 2θ ≤ 90°, in order of rising 2θ:
d/Å, Position (°2θ), I_rel
3.782, 23.52, 18
3.503, 25.43, 100
3.236, 27.56, 25
3.126, 28.55, 28
2.990, 29.88, 35
2.674, 33.51, 17
2.410, 37.32, 29
2.161, 41.81, 26
1.949, 46.60, 13
1.869, 48.71, 15



No. 2
This entry pairs a crystal structure of Cs7Ni4F15 with its theoretical PXRD pattern. Radiation: Cu Ka. Structure: a structure optimized by DFT (PBE+U).
Intensities are scaled so that the largest is 100.

Crystal structure
a = 7.947 Å, b = 11.037 Å, c = 11.633 Å
α = 90.00°, β = 92.32°, γ = 90.00°
Fractional coordinates of all 52 atoms:
1 Cs 0.000 0.000 0.000
2 Cs 0.000 0.500 0.500
3 Cs 0.163 0.154 0.303
4 Cs 0.163 0.346 0.803
5 Cs 0.330 0.004 0.666
6 Cs 0.330 0.496 0.166
7 Cs 0.497 0.181 0.030
8 Cs 0.497 0.319 0.530
9 Cs 0.503 0.681 0.470
10 Cs 0.503 0.819 0.970
11 Cs 0.670 0.504 0.834
12 Cs 0.670 0.996 0.334
13 Cs 0.837 0.654 0.197
14 Cs 0.837 0.846 0.697
15 Ni 0.077 0.662 0.930
16 Ni 0.077 0.838 0.430
17 Ni 0.258 0.673 0.729
18 Ni 0.258 0.827 0.229
19 Ni 0.742 0.173 0.771
20 Ni 0.742 0.327 0.271
21 Ni 0.923 0.162 0.570
22 Ni 0.923 0.338 0.070
23 F 0.000 0.000 0.500
24 F 0.000 0.500 0.000
25 F 0.023 0.603 0.761
26 F 0.023 0.897 0.261
27 F 0.148 0.235 0.554
28 F 0.148 0.265 0.054
29 F 0.168 0.734 0.083
30 F 0.168 0.766 0.583
31 F 0.171 0.691 0.336
32 F 0.171 0.809 0.836
33 F 0.311 0.593 0.893
34 F 0.311 0.907 0.393
35 F 0.330 0.529 0.641
36 F 0.330 0.971 0.141
37 F 0.485 0.749 0.720
38 F 0.485 0.751 0.220
39 F 0.515 0.249 0.780
40 F 0.515 0.251 0.280
41 F 0.670 0.029 0.859
42 F 0.670 0.471 0.359
43 F 0.689 0.093 0.607
44 F 0.689 0.407 0.107
45 F 0.829 0.191 0.164
46 F 0.829 0.309 0.664
47 F 0.832 0.234 0.417
48 F 0.832 0.266 0.917
49 F 0.852 0.735 0.946
50 F 0.852 0.765 0.446
51 F 0.977 0.103 0.739
52 F 0.977 0.397 0.239

Principal peaks in the range 15° ≤ 2θ ≤ 90°, in order of rising 2θ:
d/Å, Position (°2θ), I_rel
3.656, 24.35, 29
3.614, 24.63, 31
3.597, 24.75, 32
3.218, 27.72, 45
3.195, 27.93, 100
2.810, 31.85, 16
2.421, 37.14, 19
2.389, 37.66, 61
1.854, 49.15, 18
1.597, 57.73, 17



No. 3
This entry pairs a crystal structure of Cs2NiPbF6 with its theoretical PXRD pattern. Radiation: Cu Ka. Structure: a structure optimized by DFT (PBE+U).
Intensities are scaled so that the largest is 100.

Crystal structure
a = 4.669 Å, b = 4.669 Å, c = 8.999 Å
α = 90.00°, β = 90.00°, γ = 90.00°
Fractional coordinates of all 10 atoms:
1 Cs 0.000 0.000 0.227
2 Cs 0.000 0.000 0.773
3 Ni 0.500 0.500 0.000
4 Pb 0.500 0.500 0.500
5 F 0.000 0.500 0.000
6 F 0.000 0.500 0.500
7 F 0.500 0.000 0.000
8 F 0.500 0.000 0.500
9 F 0.500 0.500 0.216
10 F 0.500 0.500 0.784

Principal peaks in the range 15° ≤ 2θ ≤ 90°, in order of rising 2θ:
d/Å, Position (°2θ), I_rel
4.144, 21.44, 21
3.301, 27.01, 54
3.240, 27.53, 100
2.334, 38.57, 37
2.250, 40.08, 14
1.894, 48.04, 44
1.859, 49.00, 17
1.651, 55.69, 12
1.620, 56.84, 19
1.244, 76.57, 12



No. 4
This entry pairs a crystal structure of CsPuNiF6 with its theoretical PXRD pattern. Radiation: Cu Ka. Structure: a structure optimized by DFT (PBE+U).
Intensities are scaled so that the largest is 100.

Crystal structure
a = 5.885 Å, b = 5.885 Å, c = 6.339 Å
α = 90.14°, β = 90.14°, γ = 119.64°
Fractional coordinates of all 9 atoms:
1 Cs 0.000 0.000 0.000
2 Pu 0.667 0.333 0.500
3 Ni 0.332 0.668 0.500
4 F 0.029 0.634 0.319
5 F 0.033 0.399 0.682
6 F 0.363 0.395 0.319
7 F 0.366 0.971 0.681
8 F 0.601 0.967 0.318
9 F 0.605 0.637 0.681

Principal peaks in the range 15° ≤ 2θ ≤ 90°, in order of rising 2θ:
d/Å, Position (°2θ), I_rel
5.106, 17.37, 23
3.981, 22.33, 100
3.968, 22.41, 50
3.169, 28.16, 17
2.958, 30.21, 16
2.943, 30.38, 32
2.168, 41.66, 14
2.159, 41.85, 22
2.154, 41.95, 27
1.842, 49.48, 19



No. 5
This entry pairs a crystal structure of Cs3RbNi2F9 with its theoretical PXRD pattern. Radiation: Cu Ka. Structure: a structure optimized by DFT (PBE+U).
Intensities are scaled so that the largest is 100.

Crystal structure
a = 6.264 Å, b = 6.264 Å, c = 7.965 Å
α = 90.00°, β = 90.00°, γ = 120.00°
Fractional coordinates of all 15 atoms:
1 Cs 0.000 0.000 0.000
2 Cs 0.333 0.667 0.671
3 Cs 0.667 0.333 0.329
4 Rb 0.000 0.000 0.500
5 Ni 0.333 0.667 0.143
6 Ni 0.667 0.333 0.857
7 F 0.000 0.500 0.000
8 F 0.188 0.377 0.284
9 F 0.188 0.812 0.284
10 F 0.377 0.188 0.716
11 F 0.500 0.000 0.000
12 F 0.500 0.500 0.000
13 F 0.623 0.812 0.284
14 F 0.812 0.188 0.716
15 F 0.812 0.623 0.716

Principal peaks in the range 15° ≤ 2θ ≤ 90°, in order of rising 2θ:
d/Å, Position (°2θ), I_rel
3.210, 27.79, 100
3.132, 28.50, 91
2.568, 34.94, 20
2.242, 40.23, 65
1.869, 48.71, 19
1.823, 50.03, 35
1.808, 50.47, 18
1.605, 57.40, 18
1.566, 58.98, 20
1.429, 65.32, 19



No. 6
This entry pairs a crystal structure of CsRbNiF6 with its theoretical PXRD pattern. Radiation: Cu Ka. Structure: a structure optimized by DFT (PBE+U).
Intensities are scaled so that the largest is 100.

Crystal structure
a = 5.997 Å, b = 5.997 Å, c = 5.147 Å
α = 90.00°, β = 90.00°, γ = 120.00°
Fractional coordinates of all 9 atoms:
1 Cs 0.000 0.000 0.000
2 Rb 0.667 0.333 0.566
3 Ni 0.333 0.667 0.324
4 F 0.045 0.523 0.126
5 F 0.190 0.380 0.523
6 F 0.190 0.810 0.523
7 F 0.477 0.523 0.126
8 F 0.477 0.955 0.126
9 F 0.620 0.810 0.523

Principal peaks in the range 15° ≤ 2θ ≤ 90°, in order of rising 2θ:
d/Å, Position (°2θ), I_rel
3.656, 24.35, 100
2.998, 29.80, 49
2.318, 38.84, 60
2.306, 39.06, 20
1.834, 49.71, 21
1.828, 49.89, 14
1.731, 52.89, 9
1.561, 59.20, 18
1.499, 61.89, 12
1.387, 67.53, 13



No. 7
This entry pairs a crystal structure of Cs2TaNiF6 with its theoretical PXRD pattern. Radiation: Cu Ka. Structure: a structure optimized by DFT (PBE+U).
Intensities are scaled so that the largest is 100.

Crystal structure
a = 6.652 Å, b = 6.652 Å, c = 6.652 Å
α = 126.38°, β = 126.38°, γ = 79.27°
Fractional coordinates of all 10 atoms:
1 Cs 0.250 0.750 0.500
2 Cs 0.750 0.250 0.500
3 Ta 0.000 0.000 0.000
4 Ni 0.500 0.500 0.000
5 F 0.201 0.201 0.000
6 F 0.251 0.251 0.503
7 F 0.251 0.749 0.000
8 F 0.749 0.251 0.000
9 F 0.749 0.749 0.497
10 F 0.799 0.799 0.000

Principal peaks in the range 15° ≤ 2θ ≤ 90°, in order of rising 2θ:
d/Å, Position (°2θ), I_rel
5.178, 17.12, 21
3.268, 27.29, 100
3.001, 29.78, 39
2.561, 35.03, 21
2.122, 42.61, 26
1.948, 46.62, 20
1.780, 51.34, 35
1.634, 56.30, 20
1.584, 58.24, 14
1.269, 74.79, 13